[1]
Calculated X-ray powder pattern
Compound: LaTm4Sc2
Radiation: a wavelength of 1.5418 Å
Structure: a DFT-relaxed cell (PBE, Alexandria)

Principal peaks in the range 15° ≤ 2θ ≤ 90°, low angle first:
two_theta  I (rel.)  index
30.9  81  2 -2 0
32.2  100  2 1 -2
32.5  91  0 1 -3
32.6  89  0 2 1
33.6  84  0 3 -2
34.1  95  2 0 1
43.1  26  -2 1 3
49.5  22  2 3 -1
53.3  24  -4 1 1
63.8  39  4 0 -4

Structure:
```
data_LaTm4Sc2
_chemical_formula_sum 'La2 Tm8 Sc4'
_space_group_name_H-M_alt 'P 1'
_space_group_IT_number 1
_cell_length_a 6.8789
_cell_length_b 8.3316
_cell_length_c 8.5503
_cell_angle_alpha 114.55
_cell_angle_beta 101.71
_cell_angle_gamma 101.75
loop_
_space_group_symop_operation_xyz
'x,y,z'
loop_
_atom_site_label
_atom_site_fract_x
_atom_site_fract_y
_atom_site_fract_z
La1 0.0000 0.0000 0.0000
La2 0.0865 0.7631 0.5742
Tm1 0.2013 0.3311 0.4579
Tm2 0.3073 0.8847 0.2906
Tm3 0.3979 0.4443 0.1225
Tm4 0.5010 0.9983 0.9886
Tm5 0.6115 0.5910 0.8501
Tm6 0.6984 0.3277 0.4521
Tm7 0.8912 0.4402 0.1098
Tm8 0.9739 0.1743 0.7113
Sc1 0.1178 0.5928 0.8565
Sc2 0.4815 0.1767 0.7190
Sc3 0.5938 0.7748 0.5783
Sc4 0.7904 0.8798 0.2841
```

***

[2]
Calculated X-ray powder pattern
Compound: Ac2H6PdRh
Radiation: a wavelength of 1.5418 Å
Structure: a DFT-relaxed cell (PBE, Alexandria)

Principal peaks in the range 15° ≤ 2θ ≤ 90°, low angle first:
two_theta  I (rel.)  index
32.1  67  0 2 1
32.3  100  2 0 0
32.4  33  2 0 -2
46.0  13  0 4 0
46.2  13  0 0 2
57.4  26  2 4 0
57.4  13  2 2 1
57.6  13  2 2 -3
57.7  13  4 2 -1
57.8  13  4 2 -3

Structure:
```
data_Ac2H6PdRh
_chemical_formula_sum 'Ac4 H12 Pd2 Rh2'
_space_group_name_H-M_alt 'C 1 2/m 1'
_space_group_IT_number 12
_cell_length_a 7.7923
_cell_length_b 7.8935
_cell_length_c 5.5239
_cell_angle_alpha 90.00
_cell_angle_beta 134.66
_cell_angle_gamma 90.00
loop_
_space_group_symop_operation_xyz
'x,y,z'
'-x,-y,-z'
'-x,y,-z'
'x,-y,z'
'x+1/2,y+1/2,z'
'-x+1/2,-y+1/2,-z'
'-x+1/2,y+1/2,-z'
'x+1/2,-y+1/2,z'
loop_
_atom_site_label
_atom_site_fract_x
_atom_site_fract_y
_atom_site_fract_z
Ac1 0.0000 0.2493 0.0000
H1 0.0000 0.2668 0.5000
H2 0.2343 0.5000 0.9683
H3 0.2354 0.5000 0.5004
Pd1 0.0000 0.0000 0.5000
Rh1 0.0000 0.5000 0.5000
```